Record 1
Calculated XRD peak list
Compound: AcPr12Er2
Radiation: Cu Kα, 1.54184 Å
Structure: a cell relaxed with GGA-PBE
Lines closer than 0.1° are merged.

Peak list (6 most intense, 5° ≤ 2θ ≤ 70°, most intense first)
2θ/deg, I (rel.)
30.28, 100
28.79, 79
29.72, 72
32.17, 65
31.90, 54
30.76, 43

a b c (Å): 6.930 6.930 25.510
angles (deg): 90.00 90.00 116.81
Sites, in units of the cell vectors:
Ac 0.250 0.750 0.985
Ac 0.750 0.250 0.015
Pr 0.011 0.511 0.858
Pr 0.020 0.520 0.416
Pr 0.025 0.975 0.078
Pr 0.025 0.975 0.559
Pr 0.250 0.250 0.202
Pr 0.250 0.250 0.327
Pr 0.250 0.250 0.673
Pr 0.250 0.250 0.798
Pr 0.475 0.525 0.078
Pr 0.475 0.525 0.559
Pr 0.480 0.980 0.416
Pr 0.489 0.989 0.858
Pr 0.511 0.011 0.142
Pr 0.520 0.020 0.584
Pr 0.525 0.475 0.441
Pr 0.525 0.475 0.922
Pr 0.750 0.750 0.202
Pr 0.750 0.750 0.327
Pr 0.750 0.750 0.673
Pr 0.750 0.750 0.798
Pr 0.975 0.025 0.441
Pr 0.975 0.025 0.922
Pr 0.980 0.480 0.584
Pr 0.989 0.489 0.142
Er 0.250 0.750 0.271
Er 0.250 0.750 0.725
Er 0.750 0.250 0.275
Er 0.750 0.250 0.729

=====

Record 2
Calculated XRD peak list
Compound: Ac2Pr4Er7
Radiation: Cu Kα, 1.54184 Å
Structure: a cell relaxed with GGA-PBE
Lines closer than 0.1° are merged.

Peak list (6 most intense, 5° ≤ 2θ ≤ 70°, most intense first)
2θ/deg, I (rel.)
31.65, 100
29.49, 40
34.98, 37
50.92, 29
6.48, 27
26.11, 21

a b c (Å): 6.212 6.212 13.651
angles (deg): 90.00 90.00 120.00
Sites, in units of the cell vectors:
Ac 0.333 0.667 0.000
Ac 0.667 0.333 0.000
Pr 0.000 0.000 0.393
Pr 0.000 0.000 0.607
Pr 0.333 0.667 0.500
Pr 0.667 0.333 0.500
Er 0.000 0.000 0.000
Er 0.000 0.350 0.785
Er 0.000 0.650 0.215
Er 0.350 0.000 0.785
Er 0.350 0.350 0.215
Er 0.650 0.000 0.215
Er 0.650 0.650 0.785

=====

Record 3
Calculated XRD peak list
Compound: Ac6Pr3Er2
Radiation: Cu Kα, 1.54184 Å
Structure: a cell relaxed with GGA-PBE
Lines closer than 0.1° are merged.

Peak list (6 most intense, 5° ≤ 2θ ≤ 70°, most intense first)
2θ/deg, I (rel.)
28.51, 100
33.06, 68
47.41, 34
28.60, 33
56.31, 30
56.20, 15

a b c (Å): 6.638 8.553 8.562
angles (deg): 107.21 97.45 104.88
Sites, in units of the cell vectors:
Ac 0.054 0.181 0.402
Ac 0.136 0.549 0.230
Ac 0.322 0.265 0.870
Ac 0.678 0.735 0.130
Ac 0.864 0.451 0.770
Ac 0.946 0.819 0.598
Pr 0.407 0.644 0.686
Pr 0.500 0.000 0.500
Pr 0.593 0.356 0.314
Er 0.232 0.914 0.046
Er 0.768 0.086 0.954

=====

Record 4
Calculated XRD peak list
Compound: Ac7PrEr2
Radiation: Cu Kα, 1.54184 Å
Structure: a cell relaxed with GGA-PBE
Lines closer than 0.1° are merged.

Peak list (6 most intense, 5° ≤ 2θ ≤ 70°, most intense first)
2θ/deg, I (rel.)
27.96, 100
29.04, 80
30.61, 78
40.75, 74
14.41, 74
26.12, 66

a b c (Å): 9.649 9.649 6.149
angles (deg): 90.00 90.00 116.43
Sites, in units of the cell vectors:
Ac 0.000 0.000 0.000
Ac 0.189 0.440 0.000
Ac 0.256 0.744 0.500
Ac 0.440 0.189 0.000
Ac 0.560 0.811 0.000
Ac 0.744 0.256 0.500
Ac 0.811 0.560 0.000
Pr 0.500 0.500 0.500
Er 0.201 0.799 0.000
Er 0.799 0.201 0.000

=====

Record 5
Calculated XRD peak list
Compound: AcPrErPu
Radiation: Cu Kα, 1.54184 Å
Structure: a cell relaxed with GGA-PBE
Lines closer than 0.1° are merged.

Peak list (6 most intense, 5° ≤ 2θ ≤ 70°, most intense first)
2θ/deg, I (rel.)
30.65, 100
54.49, 41
43.90, 19
63.83, 13
21.54, 4
49.41, 2

a b c (Å): 5.833 5.833 5.833
angles (deg): 60.00 60.00 60.00
Sites, in units of the cell vectors:
Ac 0.000 0.000 0.000
Pr 0.250 0.250 0.250
Er 0.750 0.750 0.750
Pu 0.500 0.500 0.500

=====

Record 6
Calculated XRD peak list
Compound: AcPr2ErS6
Radiation: Cu Kα, 1.54184 Å
Structure: a cell relaxed with GGA-PBE
Lines closer than 0.1° are merged.

Peak list (6 most intense, 5° ≤ 2θ ≤ 70°, most intense first)
2θ/deg, I (rel.)
23.48, 100
24.59, 97
37.72, 60
42.62, 51
34.26, 50
43.28, 45

a b c (Å): 7.594 7.594 7.594
angles (deg): 56.95 56.95 56.95
Sites, in units of the cell vectors:
Ac 0.000 0.000 0.000
Pr 0.283 0.283 0.283
Pr 0.790 0.790 0.790
Er 0.490 0.490 0.490
S 0.101 0.667 0.409
S 0.206 0.593 0.872
S 0.409 0.101 0.667
S 0.593 0.872 0.206
S 0.667 0.409 0.101
S 0.872 0.206 0.593